(1)
Structure and simulated powder X-ray diffraction pattern of PrNdNi2As4 (the GGA-PBE geometry in OQMD; λ = 1.5418 Å (Cu Kα)).
Kinematic intensities with the Lorentz-polarization factor, no thermal factor.

Principal peaks in the range 2θ = 15–90°, low angle first:
| Position (°2θ) | d (Å) | Rel. int. |
| --- | --- | --- |
| 23.98 | 3.711 | 26 |
| 28.69 | 3.112 | 19 |
| 35.27 | 2.545 | 47 |
| 36.57 | 2.457 | 100 |
| 45.30 | 2.002 | 42 |
| 51.53 | 1.773 | 18 |
| 58.67 | 1.574 | 21 |
| 77.88 | 1.227 | 21 |

Crystal structure
```
PrNdNi2As4
1.0
4.0041 0.0000 0.0000
0.0000 4.0041 0.0000
0.0000 0.0000 9.8898
Pr Nd Ni As
1 1 2 4
direct
0.0000 0.0000 0.0000
0.5000 0.5000 0.5161
0.0000 0.5000 0.2598
0.5000 0.0000 0.2598
0.0000 0.0000 0.3908
0.0000 0.5000 0.7566
0.5000 0.0000 0.7566
0.5000 0.5000 0.1291
```

(2)
Structure and simulated powder X-ray diffraction pattern of TbB4 (the GGA-PBE geometry in OQMD; λ = 1.5418 Å (Cu Kα)).
Kinematic intensities with the Lorentz-polarization factor, no thermal factor.

Principal peaks in the range 2θ = 15–90°, low angle first:
| Position (°2θ) | d (Å) | Rel. int. |
| --- | --- | --- |
| 22.08 | 4.025 | 58 |
| 25.06 | 3.554 | 38 |
| 28.07 | 3.178 | 77 |
| 33.64 | 2.664 | 54 |
| 36.00 | 2.494 | 100 |
| 53.13 | 1.724 | 29 |
| 53.92 | 1.700 | 26 |
| 58.22 | 1.585 | 34 |

Crystal structure
```
TbB4
1.0
7.1071 0.0000 0.0000
0.0000 7.1071 0.0000
0.0000 0.0000 4.0251
Tb B
4 16
direct
0.1823 0.3177 0.0000
0.3177 0.8177 0.0000
0.6823 0.1823 0.0000
0.8177 0.6823 0.0000
0.0000 0.0000 0.2032
0.0000 0.0000 0.7968
0.0388 0.8241 0.5000
0.0872 0.5872 0.5000
0.1759 0.0388 0.5000
0.3241 0.5388 0.5000
0.4128 0.0872 0.5000
0.4612 0.3241 0.5000
0.5000 0.5000 0.2032
0.5000 0.5000 0.7968
0.5388 0.6759 0.5000
0.5872 0.9128 0.5000
0.6759 0.4612 0.5000
0.8241 0.9612 0.5000
0.9128 0.4128 0.5000
0.9612 0.1759 0.5000
```

(3)
Structure and simulated powder X-ray diffraction pattern of FeSi30Ge (the GGA-PBE geometry in OQMD; λ = 1.5418 Å (Cu Kα)).
Kinematic intensities with the Lorentz-polarization factor, no thermal factor.

Principal peaks in the range 2θ = 15–90°, low angle first:
| Position (°2θ) | d (Å) | Rel. int. |
| --- | --- | --- |
| 17.48 | 5.072 | 1 |
| 20.76 | 4.278 | 2 |
| 28.35 | 3.149 | 100 |
| 47.14 | 1.928 | 67 |
| 55.92 | 1.644 | 40 |
| 68.87 | 1.363 | 11 |
| 76.08 | 1.251 | 16 |
| 87.66 | 1.113 | 23 |

Crystal structure
```
FeSi30Ge
1.0
8.6229 0.0000 0.0000
3.4471 8.7933 0.0000
3.4499 2.0287 8.5564
Fe Si Ge
1 30 1
direct
0.0000 0.0000 0.0000
0.9999 0.2384 0.0000
0.9999 0.4987 0.5012
0.0007 0.2462 0.2493
0.0032 0.4955 0.2509
0.2387 0.8202 0.0593
0.2474 0.5607 0.8145
0.2471 0.8132 0.3109
0.2475 0.0614 0.5653
0.2482 0.5640 0.0628
0.2489 0.3094 0.8141
0.2503 0.0606 0.3140
0.2497 0.3110 0.5636
0.4950 0.6246 0.3771
0.4974 0.6243 0.6264
0.4969 0.8752 0.8744
0.4991 0.3759 0.1248
0.4990 0.8751 0.6237
0.4996 0.1238 0.8758
0.5005 0.1253 0.1249
0.4999 0.3736 0.3758
0.7489 0.4366 0.6874
0.7485 0.6858 0.9342
0.7504 0.1856 0.6904
0.7504 0.9378 0.4362
0.7508 0.1862 0.4392
0.7506 0.4338 0.9375
0.7604 0.9451 0.1790
0.9991 0.7503 0.5003
0.9988 0.7505 0.7513
0.9991 0.9989 0.7618
0.7508 0.6889 0.1864
```

(4)
Structure and simulated powder X-ray diffraction pattern of Pm2Cd3Pb3 (the GGA-PBE geometry in OQMD; λ = 1.5418 Å (Cu Kα)).
Kinematic intensities with the Lorentz-polarization factor, no thermal factor.

Principal peaks in the range 2θ = 15–90°, low angle first:
| Position (°2θ) | d (Å) | Rel. int. |
| --- | --- | --- |
| 32.67 | 2.741 | 100 |
| 36.49 | 2.462 | 19 |
| 38.05 | 2.365 | 17 |
| 39.14 | 2.302 | 15 |
| 53.74 | 1.706 | 12 |
| 63.28 | 1.470 | 15 |
| 65.38 | 1.427 | 14 |
| 66.86 | 1.399 | 12 |

Crystal structure
```
Pm2Cd3Pb3
1.0
4.7294 0.0000 0.0000
0.0000 4.9248 0.0000
0.0000 0.0000 9.2067
Pm Cd Pb
2 3 3
direct
0.0000 0.0000 0.2482
0.0000 0.0000 0.7518
0.0000 0.5000 0.5000
0.5000 0.5000 0.2629
0.5000 0.5000 0.7371
0.0000 0.5000 0.0000
0.5000 0.0000 0.0000
0.5000 0.0000 0.5000
```

(5)
Structure and simulated powder X-ray diffraction pattern of Nd2IBr2N (the GGA-PBE geometry in OQMD; λ = 1.5418 Å (Cu Kα)).
Kinematic intensities with the Lorentz-polarization factor, no thermal factor.

Principal peaks in the range 2θ = 15–90°, low angle first:
| Position (°2θ) | d (Å) | Rel. int. |
| --- | --- | --- |
| 25.25 | 3.527 | 52 |
| 26.65 | 3.344 | 78 |
| 30.28 | 2.952 | 57 |
| 30.54 | 2.927 | 100 |
| 30.85 | 2.898 | 72 |
| 41.14 | 2.194 | 46 |
| 41.28 | 2.187 | 47 |
| 44.22 | 2.048 | 42 |

Crystal structure
```
Nd2IBr2N
1.0
9.1497 -2.0484 0.0000
9.1497 2.0484 0.0000
-6.3521 0.0000 10.0889
Nd I Br N
4 2 4 2
direct
0.0781 0.0781 0.4576
0.3678 0.3678 0.2229
0.6322 0.6322 0.7771
0.9219 0.9219 0.5424
0.1585 0.1585 0.0155
0.8415 0.8415 0.9845
0.2843 0.2843 0.3871
0.4565 0.4565 0.7466
0.5435 0.5435 0.2534
0.7157 0.7157 0.6129
0.0723 0.0723 0.6490
0.9277 0.9277 0.3510
```

(6)
Structure and simulated powder X-ray diffraction pattern of NbTl3SeS3 (the GGA-PBE geometry in OQMD; λ = 1.5418 Å (Cu Kα)).
Kinematic intensities with the Lorentz-polarization factor, no thermal factor.

Principal peaks in the range 2θ = 15–90°, low angle first:
| Position (°2θ) | d (Å) | Rel. int. |
| --- | --- | --- |
| 22.62 | 3.932 | 74 |
| 27.79 | 3.211 | 16 |
| 32.20 | 2.780 | 100 |
| 39.70 | 2.270 | 30 |
| 46.18 | 1.966 | 13 |
| 52.01 | 1.758 | 49 |
| 57.44 | 1.604 | 26 |
| 72.09 | 1.310 | 19 |

Crystal structure
```
NbTl3SeS3
1.0
5.5553 3.2074 2.2739
-5.5553 3.2074 2.2739
0.0000 -6.4147 2.2739
Nb Tl Se S
1 3 1 3
direct
0.0000 0.0000 0.0000
0.0020 0.4977 0.4977
0.4977 0.0020 0.4977
0.4977 0.4977 0.0020
0.6416 0.6416 0.6416
0.3348 0.9976 0.9976
0.9976 0.3348 0.9976
0.9976 0.9976 0.3348
```

(7)
Structure and simulated powder X-ray diffraction pattern of Nd2Sm2Br4N2Cl (the GGA-PBE geometry in OQMD; λ = 1.5418 Å (Cu Kα)).
Kinematic intensities with the Lorentz-polarization factor, no thermal factor.

Principal peaks in the range 2θ = 15–90°, low angle first:
| Position (°2θ) | d (Å) | Rel. int. |
| --- | --- | --- |
| 29.07 | 3.072 | 27 |
| 29.27 | 3.051 | 76 |
| 31.77 | 2.816 | 21 |
| 32.74 | 2.736 | 100 |
| 44.05 | 2.056 | 36 |
| 44.90 | 2.019 | 41 |
| 49.29 | 1.849 | 20 |
| 58.36 | 1.581 | 22 |

Crystal structure
```
Nd2Sm2Br4N2Cl
1.0
9.4341 -1.8488 0.0000
9.4341 1.8488 0.0000
-1.9690 0.0000 7.8940
Nd Sm Br N Cl
2 2 4 2 1
direct
0.9997 0.9997 0.2027
0.0003 0.0003 0.7973
0.3394 0.3394 0.9012
0.6606 0.6606 0.0988
0.1602 0.1602 0.3799
0.1708 0.1708 0.8160
0.8292 0.8292 0.1840
0.8398 0.8398 0.6201
0.4623 0.4623 0.9781
0.5377 0.5377 0.0219
0.5000 0.5000 0.5000
```